For AcGdAsO, a crystal structure in OQMD, relaxed with PBE gives the theoretical powder XRD pattern in this record (Cu Ka).

Cell and atoms:
```
AcGdAsO
1.0
4.3441 0.0000 0.0000
0.0000 6.1063 0.0000
0.0000 0.0000 7.6809
Ac Gd As O
2 2 2 2
Direct
0.0000 0.0930 0.0000
0.0000 0.9070 0.5000
0.5000 0.3661 0.3420
0.5000 0.6339 0.8420
0.5000 0.1889 0.7012
0.5000 0.8111 0.2012
0.0000 0.2581 0.3070
0.0000 0.7419 0.8070
```

Largest 10 diffraction maxima, by intensity, 2θ = 10–90°:
2θ (°), Rel. int.
31.1, 100.0
25.2, 94.7
27.7, 90.6
31.5, 86.8
27.4, 61.9
34.5, 51.5
37.9, 50.2
38.1, 47.7
41.6, 42.4
51.1, 41.7

=====

For CsTmSeCl2O3, a crystal structure in OQMD, relaxed with PBE gives the theoretical powder XRD pattern in this record (Cu Ka).

Cell and atoms:
```
CsTmSeCl2O3
1.0
6.5959 0.0000 0.0000
0.0000 6.9094 0.0000
-3.9040 0.0000 17.1154
Cs Tm Se Cl O
4 4 4 8 12
Direct
0.2478 0.2103 0.0538
0.2478 0.2897 0.5538
0.7522 0.7103 0.4462
0.7522 0.7897 0.9462
0.1342 0.6789 0.2581
0.1342 0.8211 0.7581
0.8658 0.1789 0.2419
0.8658 0.3211 0.7419
0.3660 0.1829 0.2939
0.3660 0.3171 0.7939
0.6340 0.6829 0.2061
0.6340 0.8171 0.7061
0.1264 0.6890 0.1087
0.1264 0.8110 0.6087
0.2297 0.6612 0.4104
0.2297 0.8388 0.9104
0.7703 0.1612 0.0896
0.7703 0.3388 0.5896
0.8736 0.1890 0.3913
0.8736 0.3110 0.8913
0.1772 0.1442 0.7557
0.1772 0.3558 0.2557
0.1814 0.0013 0.2649
0.1814 0.4987 0.7649
0.4868 0.6748 0.2738
0.4868 0.8252 0.7738
0.5132 0.1748 0.2262
0.5132 0.3252 0.7262
0.8186 0.5013 0.2351
0.8186 0.9987 0.7351
0.8228 0.6442 0.7443
0.8228 0.8558 0.2443
```

Largest 10 diffraction maxima, by intensity, 2θ = 10–90°:
2θ (°), Rel. int.
10.3, 100.0
30.3, 53.5
26.3, 51.5
25.8, 49.0
22.2, 43.6
20.8, 38.2
30.7, 36.9
31.4, 32.7
39.5, 28.8
24.5, 28.2

=====

For TbTmSeO2, a crystal structure in OQMD, relaxed with PBE gives the theoretical powder XRD pattern in this record (Cu Ka).

Cell and atoms:
```
TbTmSeO2
1.0
3.8011 0.0000 0.0000
-1.9005 3.2918 0.0000
0.0000 0.0000 6.7330
Tb Tm Se O
1 1 1 2
Direct
0.0000 0.0000 0.0000
0.3333 0.6667 0.5806
0.6667 0.3333 0.2936
0.0000 0.0000 0.6593
0.3333 0.6667 0.9119
```

Largest 10 diffraction maxima, by intensity, 2θ = 10–90°:
2θ (°), Rel. int.
30.2, 100.0
38.2, 40.3
47.9, 32.9
49.1, 16.6
57.7, 16.5
64.2, 14.9
78.1, 13.8
26.5, 12.1
40.2, 10.2
55.5, 9.6

=====

For Co2P2S7, a crystal structure in OQMD, relaxed with PBE gives the theoretical powder XRD pattern in this record (Cu Ka).

Cell and atoms:
```
Co2P2S7
1.0
5.3189 -2.7512 0.0000
5.3189 2.7512 0.0000
-2.0786 0.0000 7.9371
Co P S
2 2 7
Direct
0.2149 0.2149 0.1402
0.7851 0.7851 0.8598
0.0940 0.0464 0.7108
0.9536 0.9060 0.2892
0.0234 0.5564 0.3462
0.1533 0.7035 0.7724
0.2965 0.8467 0.2276
0.4436 0.9766 0.6538
0.6293 0.0926 0.0935
0.7833 0.2167 0.5000
0.9074 0.3707 0.9065
```

Largest 10 diffraction maxima, by intensity, 2θ = 10–90°:
2θ (°), Rel. int.
30.8, 100.0
30.3, 89.8
18.3, 47.6
47.7, 43.4
52.0, 34.0
18.0, 22.6
52.5, 18.4
11.1, 18.2
53.5, 15.2
22.4, 14.4